Record 1
Structure and calculated powder diffraction line list of Ce5ErPb5 (a crystal structure in Alexandria, relaxed with PBE; a wavelength of 1.5418 Å).
Peak positions follow from Bragg's law for the DFT cell and can differ from measured ones.

Principal peaks in the range 2θ = 10–90°, in order of falling intensity:
Position (°2θ)	I_rel
28.09	100.0
40.02	78.9
27.91	50.9
48.88	22.2
39.29	20.7
50.32	20.5
65.36	19.0
40.99	18.4
64.52	9.9
65.59	9.4

Structure:
Lattice parameters (Å, degrees): 7.903 7.903 8.806 106.27 106.27 47.72
Sites, in units of the cell vectors:
1 Ce 0.000 0.000 0.000
2 Ce 0.334 0.334 0.165
3 Ce 0.336 0.336 0.671
4 Ce 0.664 0.664 0.329
5 Ce 0.666 0.666 0.835
6 Er 0.000 0.000 0.500
7 Pb 0.165 0.165 0.832
8 Pb 0.167 0.167 0.334
9 Pb 0.500 0.500 0.500
10 Pb 0.833 0.833 0.666
11 Pb 0.835 0.835 0.168

Record 2
Structure and calculated powder diffraction line list of Ce2Er3Pb4 (a crystal structure in Alexandria, relaxed with PBE; a wavelength of 1.5418 Å).
Peak positions follow from Bragg's law for the DFT cell and can differ from measured ones.

Principal peaks in the range 2θ = 10–90°, in order of falling intensity:
Position (°2θ)	I_rel
31.95	100.0
30.39	67.4
28.78	46.3
31.54	41.5
32.65	28.8
41.49	25.8
47.42	20.0
51.08	19.0
61.29	17.1
32.51	16.8

Structure:
Lattice parameters (Å, degrees): 9.350 9.350 9.009 90.00 90.00 135.03
Sites, in units of the cell vectors:
1 Ce 0.111 0.889 0.914
2 Ce 0.389 0.611 0.414
3 Ce 0.611 0.389 0.586
4 Ce 0.889 0.111 0.086
5 Er 0.000 0.000 0.500
6 Er 0.042 0.458 0.750
7 Er 0.458 0.042 0.250
8 Er 0.500 0.500 0.000
9 Er 0.542 0.958 0.750
10 Er 0.958 0.542 0.250
11 Pb 0.185 0.815 0.555
12 Pb 0.218 0.282 0.750
13 Pb 0.282 0.218 0.250
14 Pb 0.315 0.685 0.055
15 Pb 0.685 0.315 0.945
16 Pb 0.718 0.782 0.750
17 Pb 0.782 0.718 0.250
18 Pb 0.815 0.185 0.445

Record 3
Structure and calculated powder diffraction line list of Ce2ErPb9 (a crystal structure in Alexandria, relaxed with PBE; a wavelength of 1.5418 Å).
Peak positions follow from Bragg's law for the DFT cell and can differ from measured ones.

Principal peaks in the range 2θ = 10–90°, in order of falling intensity:
Position (°2θ)	I_rel
31.65	100.0
36.66	34.1
62.89	29.0
52.92	24.1
36.80	16.8
63.08	14.2
86.72	12.6
66.10	12.5
52.81	12.2
89.40	12.0

Structure:
Lattice parameters (Å, degrees): 4.903 4.903 14.653 90.00 90.00 90.00
Sites, in units of the cell vectors:
1 Ce 0.000 0.000 0.165
2 Ce 0.000 0.000 0.835
3 Er 0.000 0.000 0.500
4 Pb 0.000 0.500 0.000
5 Pb 0.000 0.500 0.336
6 Pb 0.000 0.500 0.664
7 Pb 0.500 0.000 0.000
8 Pb 0.500 0.000 0.336
9 Pb 0.500 0.000 0.664
10 Pb 0.500 0.500 0.168
11 Pb 0.500 0.500 0.500
12 Pb 0.500 0.500 0.832

Record 4
Structure and calculated powder diffraction line list of CeErRuPb (a crystal structure in Alexandria, relaxed with PBE; a wavelength of 1.5418 Å).
Peak positions follow from Bragg's law for the DFT cell and can differ from measured ones.

Principal peaks in the range 2θ = 10–90°, in order of falling intensity:
Position (°2θ)	I_rel
33.93	100.0
37.56	45.4
65.47	30.1
28.39	18.0
54.16	15.9
50.00	12.4
58.26	12.2
31.79	10.7
61.34	9.7
86.26	7.9

Structure:
Lattice parameters (Å, degrees): 3.387 3.387 8.445 90.00 90.00 90.00
Sites, in units of the cell vectors:
1 Ce 0.000 0.000 0.000
2 Er 0.000 0.000 0.594
3 Ru 0.500 0.500 0.794
4 Pb 0.500 0.500 0.304